# 1
Diffraction record for BeInSi2. The X-ray powder pattern is computed, not measured: it uses a cell relaxed with PBE and Cu Kα (λ = 1.5418 Å).
No peak broadening, texture or thermal motion is included.

Principal peaks in the range 10 to 90 degrees two-theta, in order of falling intensity:
| 2theta | d/Å | Rel. int. |
| --- | --- | --- |
| 39.7 | 2.272 | 100 |
| 24.0 | 3.711 | 63 |
| 27.8 | 3.214 | 49 |
| 72.0 | 1.312 | 33 |
| 46.9 | 1.938 | 32 |
| 64.9 | 1.437 | 17 |
| 57.3 | 1.607 | 16 |
| 49.1 | 1.855 | 14 |
| 63.0 | 1.475 | 13 |
| 85.5 | 1.136 | 11 |

```
BeInSi2
1.0
6.427 0.000 0.000
0.000 6.427 0.000
0.000 0.000 6.427
Be In Si
4 4 8
direct
0.000 0.000 0.000 Be
0.000 0.500 0.500 Be
0.500 0.000 0.500 Be
0.500 0.500 0.000 Be
0.250 0.250 0.750 In
0.250 0.750 0.250 In
0.750 0.250 0.250 In
0.750 0.750 0.750 In
0.000 0.000 0.500 Si
0.000 0.500 0.000 Si
0.250 0.250 0.250 Si
0.250 0.750 0.750 Si
0.500 0.000 0.000 Si
0.500 0.500 0.500 Si
0.750 0.250 0.750 Si
0.750 0.750 0.250 Si
```


# 2
Diffraction record for Be2NiIr. The X-ray powder pattern is computed, not measured: it uses a cell relaxed with PBE and Cu Kα (λ = 1.5418 Å).
No peak broadening, texture or thermal motion is included.

Principal peaks in the range 10 to 90 degrees two-theta, in order of falling intensity:
| 2theta | d/Å | Rel. int. |
| --- | --- | --- |
| 33.0 | 2.712 | 100 |
| 47.4 | 1.918 | 88 |
| 28.5 | 3.132 | 50 |
| 78.9 | 1.213 | 32 |
| 88.2 | 1.107 | 30 |
| 59.0 | 1.566 | 25 |
| 56.2 | 1.636 | 25 |
| 69.3 | 1.356 | 14 |
| 76.6 | 1.245 | 10 |

```
Be2NiIr
1.0
5.425 0.000 0.000
0.000 5.425 0.000
0.000 0.000 5.425
Be Ni Ir
8 4 4
direct
0.250 0.250 0.250 Be
0.250 0.250 0.750 Be
0.250 0.750 0.250 Be
0.250 0.750 0.750 Be
0.750 0.250 0.250 Be
0.750 0.250 0.750 Be
0.750 0.750 0.250 Be
0.750 0.750 0.750 Be
0.000 0.000 0.000 Ni
0.000 0.500 0.500 Ni
0.500 0.000 0.500 Ni
0.500 0.500 0.000 Ni
0.000 0.000 0.500 Ir
0.000 0.500 0.000 Ir
0.500 0.000 0.000 Ir
0.500 0.500 0.500 Ir
```


# 3
Diffraction record for Be2IrRu. The X-ray powder pattern is computed, not measured: it uses a cell relaxed with PBE and Cu Kα (λ = 1.5418 Å).
No peak broadening, texture or thermal motion is included.

Principal peaks in the range 10 to 90 degrees two-theta, in order of falling intensity:
| 2theta | d/Å | Rel. int. |
| --- | --- | --- |
| 32.0 | 2.796 | 100 |
| 45.9 | 1.977 | 87 |
| 76.1 | 1.250 | 33 |
| 85.0 | 1.141 | 30 |
| 57.1 | 1.614 | 26 |
| 27.6 | 3.228 | 18 |
| 66.9 | 1.398 | 14 |
| 54.4 | 1.686 | 9 |
| 73.9 | 1.283 | 4 |

```
Be2IrRu
1.0
5.591 0.000 0.000
0.000 5.591 0.000
0.000 0.000 5.591
Be Ir Ru
8 4 4
direct
0.250 0.250 0.250 Be
0.250 0.250 0.750 Be
0.250 0.750 0.250 Be
0.250 0.750 0.750 Be
0.750 0.250 0.250 Be
0.750 0.250 0.750 Be
0.750 0.750 0.250 Be
0.750 0.750 0.750 Be
0.000 0.000 0.000 Ir
0.000 0.500 0.500 Ir
0.500 0.000 0.500 Ir
0.500 0.500 0.000 Ir
0.000 0.000 0.500 Ru
0.000 0.500 0.000 Ru
0.500 0.000 0.000 Ru
0.500 0.500 0.500 Ru
```


# 4
Diffraction record for KNaZr2BeP4O16. The X-ray powder pattern is computed, not measured: it uses a cell relaxed with PBE and Cu Kα (λ = 1.5418 Å).
No peak broadening, texture or thermal motion is included.

Principal peaks in the range 10 to 90 degrees two-theta, in order of falling intensity:
| 2theta | d/Å | Rel. int. |
| --- | --- | --- |
| 23.6 | 3.771 | 100 |
| 18.9 | 4.683 | 94 |
| 25.0 | 3.565 | 80 |
| 13.1 | 6.733 | 74 |
| 27.6 | 3.231 | 70 |
| 23.5 | 3.779 | 70 |
| 30.0 | 2.975 | 69 |
| 24.8 | 3.594 | 69 |
| 14.0 | 6.313 | 63 |
| 29.8 | 2.997 | 56 |

```
KNaZr2BeP4O16
1.0
7.437 0.000 0.000
-1.935 7.597 0.000
-3.343 -3.331 6.371
K Na Zr Be P O
1 1 2 1 4 16
direct
0.000 0.000 0.000 K
0.708 0.105 0.530 Na
0.083 0.804 0.527 Zr
0.167 0.586 0.082 Zr
0.635 0.595 0.840 Be
0.382 0.461 0.381 P
0.421 0.297 0.907 P
0.467 0.838 0.018 P
0.616 0.300 0.215 P
0.133 0.377 0.220 O
0.170 0.784 0.312 O
0.231 0.343 0.901 O
0.255 0.817 0.834 O
0.356 0.104 0.726 O
0.436 0.497 0.597 O
0.461 0.285 0.311 O
0.489 0.625 0.343 O
0.611 0.471 0.956 O
0.628 0.804 0.951 O
0.636 0.098 0.187 O
0.838 0.477 0.365 O
0.873 0.417 0.798 O
0.874 0.920 0.425 O
0.879 0.618 0.863 O
0.909 0.926 0.628 O
```


# 5
Diffraction record for K2Be2O3. The X-ray powder pattern is computed, not measured: it uses a cell relaxed with PBE and Cu Kα (λ = 1.5418 Å).
No peak broadening, texture or thermal motion is included.

Principal peaks in the range 10 to 90 degrees two-theta, in order of falling intensity:
| 2theta | d/Å | Rel. int. |
| --- | --- | --- |
| 22.6 | 3.937 | 100 |
| 36.3 | 2.472 | 86 |
| 29.1 | 3.067 | 73 |
| 43.6 | 2.076 | 73 |
| 26.6 | 3.351 | 59 |
| 38.0 | 2.370 | 57 |
| 30.6 | 2.917 | 54 |
| 37.2 | 2.419 | 44 |
| 21.7 | 4.094 | 29 |
| 32.6 | 2.747 | 28 |

```
K2Be2O3
1.0
4.956 0.000 0.000
0.000 8.188 0.000
-2.724 0.000 5.832
K Be O
4 4 6
direct
0.215 0.146 0.421 K
0.215 0.354 0.921 K
0.785 0.646 0.079 K
0.785 0.854 0.579 K
0.303 0.509 0.504 Be
0.303 0.991 0.004 Be
0.697 0.009 0.996 Be
0.697 0.491 0.496 Be
0.000 0.000 0.000 O
0.000 0.500 0.500 O
0.389 0.541 0.297 O
0.389 0.959 0.797 O
0.611 0.041 0.203 O
0.611 0.459 0.703 O
```


# 6
Diffraction record for KBeO3. The X-ray powder pattern is computed, not measured: it uses a cell relaxed with PBE and Cu Kα (λ = 1.5418 Å).
No peak broadening, texture or thermal motion is included.

Principal peaks in the range 10 to 90 degrees two-theta, in order of falling intensity:
| 2theta | d/Å | Rel. int. |
| --- | --- | --- |
| 41.5 | 2.178 | 100 |
| 48.3 | 1.886 | 58 |
| 33.6 | 2.667 | 37 |
| 70.6 | 1.333 | 29 |
| 85.4 | 1.137 | 22 |
| 23.6 | 3.772 | 15 |
| 60.1 | 1.540 | 13 |
| 54.4 | 1.687 | 7 |
| 80.5 | 1.193 | 6 |
| 75.6 | 1.257 | 3 |

```
KBeO3
1.0
3.772 0.000 0.000
0.000 3.772 0.000
0.000 0.000 3.772
K Be O
1 1 3
direct
0.000 0.000 0.000 K
0.500 0.500 0.500 Be
0.000 0.500 0.500 O
0.500 0.000 0.500 O
0.500 0.500 0.000 O
```


# 7
Diffraction record for K4BeP2. The X-ray powder pattern is computed, not measured: it uses a cell relaxed with PBE and Cu Kα (λ = 1.5418 Å).
No peak broadening, texture or thermal motion is included.

Principal peaks in the range 10 to 90 degrees two-theta, in order of falling intensity:
| 2theta | d/Å | Rel. int. |
| --- | --- | --- |
| 32.0 | 2.800 | 100 |
| 30.9 | 2.897 | 70 |
| 25.4 | 3.500 | 33 |
| 45.0 | 2.013 | 22 |
| 56.3 | 1.634 | 21 |
| 57.0 | 1.616 | 16 |
| 23.1 | 3.848 | 16 |
| 66.8 | 1.400 | 10 |
| 40.2 | 2.242 | 9 |
| 75.4 | 1.260 | 8 |

```
K4BeP2
1.0
2.800 1.616 8.430
-2.800 1.616 8.430
0.000 -3.233 8.430
K Be P
4 1 2
direct
0.123 0.123 0.123 K
0.291 0.291 0.291 K
0.709 0.709 0.709 K
0.877 0.877 0.877 K
0.500 0.500 0.500 Be
0.421 0.421 0.421 P
0.579 0.579 0.579 P
```


# 8
Diffraction record for Sr2LaBeO5. The X-ray powder pattern is computed, not measured: it uses a cell relaxed with PBE and Cu Kα (λ = 1.5418 Å).
No peak broadening, texture or thermal motion is included.

Principal peaks in the range 10 to 90 degrees two-theta, in order of falling intensity:
| 2theta | d/Å | Rel. int. |
| --- | --- | --- |
| 28.8 | 3.104 | 100 |
| 30.5 | 2.927 | 94 |
| 30.0 | 2.975 | 71 |
| 30.7 | 2.917 | 58 |
| 37.2 | 2.420 | 46 |
| 28.2 | 3.165 | 42 |
| 40.6 | 2.225 | 35 |
| 39.3 | 2.293 | 31 |
| 46.4 | 1.959 | 31 |
| 51.2 | 1.785 | 30 |

```
Sr2LaBeO5
1.0
9.764 0.000 0.000
0.000 7.506 0.000
0.000 0.000 6.692
Sr La Be O
8 4 4 20
direct
0.173 0.025 0.086 Sr
0.173 0.475 0.086 Sr
0.327 0.525 0.586 Sr
0.327 0.975 0.586 Sr
0.673 0.025 0.414 Sr
0.673 0.475 0.414 Sr
0.827 0.525 0.914 Sr
0.827 0.975 0.914 Sr
0.029 0.250 0.596 La
0.471 0.750 0.096 La
0.529 0.250 0.904 La
0.971 0.750 0.404 La
0.102 0.750 0.811 Be
0.398 0.250 0.311 Be
0.602 0.750 0.689 Be
0.898 0.250 0.189 Be
0.013 0.750 0.026 O
0.064 0.565 0.690 O
0.064 0.935 0.690 O
0.222 0.750 0.328 O
0.232 0.250 0.371 O
0.268 0.750 0.871 O
0.278 0.250 0.828 O
0.436 0.065 0.190 O
0.436 0.435 0.190 O
0.487 0.250 0.526 O
0.513 0.750 0.474 O
0.564 0.565 0.810 O
0.564 0.935 0.810 O
0.722 0.750 0.172 O
0.732 0.250 0.129 O
0.768 0.750 0.629 O
0.778 0.250 0.672 O
0.936 0.065 0.310 O
0.936 0.435 0.310 O
0.987 0.250 0.974 O
```


# 9
Diffraction record for La3BeSbS7. The X-ray powder pattern is computed, not measured: it uses a cell relaxed with PBE and Cu Kα (λ = 1.5418 Å).
No peak broadening, texture or thermal motion is included.

Principal peaks in the range 10 to 90 degrees two-theta, in order of falling intensity:
| 2theta | d/Å | Rel. int. |
| --- | --- | --- |
| 26.4 | 3.370 | 100 |
| 17.3 | 5.121 | 59 |
| 46.7 | 1.945 | 57 |
| 24.5 | 3.630 | 55 |
| 39.3 | 2.292 | 51 |
| 35.1 | 2.560 | 51 |
| 33.5 | 2.672 | 49 |
| 33.4 | 2.684 | 49 |
| 22.4 | 3.974 | 47 |
| 39.2 | 2.300 | 43 |

```
La3BeSbS7
1.0
10.295 0.000 0.000
-5.147 8.916 0.000
0.000 0.000 6.253
La Be Sb S
6 2 2 14
direct
0.137 0.396 0.000 La
0.259 0.863 0.000 La
0.396 0.259 0.500 La
0.604 0.741 0.000 La
0.741 0.137 0.500 La
0.863 0.604 0.500 La
0.333 0.667 0.414 Be
0.667 0.333 0.914 Be
0.000 0.000 0.244 Sb
0.000 0.000 0.744 Sb
0.088 0.251 0.540 S
0.116 0.596 0.281 S
0.163 0.912 0.540 S
0.251 0.163 0.040 S
0.333 0.667 0.761 S
0.404 0.520 0.281 S
0.480 0.884 0.281 S
0.520 0.116 0.781 S
0.596 0.480 0.781 S
0.667 0.333 0.261 S
0.749 0.837 0.540 S
0.837 0.088 0.040 S
0.884 0.404 0.781 S
0.912 0.749 0.040 S
```


# 10
Diffraction record for LiBe. The X-ray powder pattern is computed, not measured: it uses a cell relaxed with PBE and Cu Kα (λ = 1.5418 Å).
No peak broadening, texture or thermal motion is included.

Principal peaks in the range 10 to 90 degrees two-theta, in order of falling intensity:
| 2theta | d/Å | Rel. int. |
| --- | --- | --- |
| 41.2 | 2.192 | 100 |
| 16.1 | 5.514 | 90 |
| 47.0 | 1.934 | 88 |
| 50.5 | 1.806 | 36 |
| 49.9 | 1.828 | 26 |
| 53.9 | 1.702 | 24 |
| 73.7 | 1.285 | 17 |
| 77.0 | 1.239 | 17 |
| 88.6 | 1.103 | 12 |
| 49.6 | 1.838 | 11 |

```
LiBe
1.0
2.296 0.000 0.000
0.000 3.613 0.000
-0.402 0.000 5.514
Li Be
2 2
direct
0.237 0.250 0.155 Li
0.763 0.750 0.845 Li
0.256 0.250 0.576 Be
0.744 0.750 0.424 Be
```


# 11
Diffraction record for LiBe. The X-ray powder pattern is computed, not measured: it uses a cell relaxed with PBE and Cu Kα (λ = 1.5418 Å).
No peak broadening, texture or thermal motion is included.

Principal peaks in the range 10 to 90 degrees two-theta, in order of falling intensity:
| 2theta | d/Å | Rel. int. |
| --- | --- | --- |
| 41.8 | 2.160 | 100 |
| 47.7 | 1.907 | 69 |
| 16.7 | 5.306 | 64 |
| 49.0 | 1.860 | 38 |
| 59.0 | 1.567 | 20 |
| 48.4 | 1.882 | 20 |
| 48.1 | 1.892 | 17 |
| 80.1 | 1.198 | 16 |
| 71.3 | 1.323 | 13 |
| 86.6 | 1.124 | 12 |

```
LiBe
1.0
2.259 0.000 0.000
0.000 3.721 0.000
-0.994 0.000 5.306
Li Be
2 2
direct
0.159 0.250 0.150 Li
0.841 0.750 0.850 Li
0.277 0.250 0.584 Be
0.723 0.750 0.416 Be
```


- What is the formula in the second record?
  Be2NiIr